For LuWO4, DFT lattice parameters and positions (GGA+U) gives the computed powder XRD pattern in this record (Cu Kα (weighted mean of Kα1 and Kα2)).

The 10 most intense peaks (2θ = 10–90°), low angle first:
2θ/deg, Rel. int.
23.6, 22
28.2, 100
30.3, 85
31.9, 20
34.4, 27
35.4, 21
36.3, 18
47.6, 35
48.3, 19
56.8, 18

Cell and atoms:
a b c (Å): 5.101 5.618 5.233
angles (deg): 90.00 95.53 90.00
Space group P2/c (No. 13)
Unique sites:
Lu1 0.000 0.210 0.250 x2
W1 0.500 0.317 0.750 x2
O1 0.236 0.098 0.607 x4
O2 0.274 0.416 0.024 x4